Diffraction record for PmSn3Rh5. The PXRD pattern is calculated, not measured: it uses a cell relaxed with GGA-PBE and Cu Kα X-rays.
Neutral-atom scattering factors, no anomalous dispersion.

Peak list (10 most intense, 2θ = 10–90°, most intense first)
d (Å)	two_theta	Rel. int.
2.161	41.80	100
2.503	35.87	70
2.019	44.90	59
2.901	30.83	50
2.173	41.57	47
2.760	32.43	47
2.255	39.98	37
6.947	12.74	34
2.093	43.22	34
2.965	30.15	24

```
PmSn3Rh5
1.0
2.0187 -6.9466 0.0000
2.0187 6.9466 0.0000
0.0000 0.0000 13.1149
Pm Sn Rh
2 6 10
Direct
0.0985 0.9015 0.7500 Pm
0.9015 0.0985 0.2500 Pm
0.1375 0.8625 0.2500 Sn
0.3778 0.6222 0.0459 Sn
0.3778 0.6222 0.4541 Sn
0.6222 0.3778 0.5459 Sn
0.6222 0.3778 0.9541 Sn
0.8625 0.1375 0.7500 Sn
0.0000 0.0000 0.0000 Rh
0.0000 0.0000 0.5000 Rh
0.1935 0.8065 0.0633 Rh
0.1935 0.8065 0.4367 Rh
0.4552 0.5448 0.6463 Rh
0.4552 0.5448 0.8537 Rh
0.5448 0.4552 0.1463 Rh
0.5448 0.4552 0.3537 Rh
0.8065 0.1935 0.5633 Rh
0.8065 0.1935 0.9367 Rh
```

Diffraction record for Pm2Sn5Rh3. The PXRD pattern is calculated, not measured: it uses a cell relaxed with GGA-PBE and Cu Kα X-rays.
Neutral-atom scattering factors, no anomalous dispersion.

Peak list (10 most intense, 2θ = 10–90°, most intense first)
d (Å)	two_theta	Rel. int.
2.701	33.17	100
2.249	40.09	28
2.509	35.79	15
1.371	68.46	15
2.478	36.25	13
1.482	62.70	13
2.819	31.74	12
2.050	44.19	11
2.285	39.44	11
1.675	54.81	9

```
Pm2Sn5Rh3
1.0
2.2491 -13.3613 0.0000
2.2491 13.3613 0.0000
0.0000 0.0000 7.2933
Pm Sn Rh
4 10 6
Direct
0.0242 0.9758 0.5000 Pm
0.3277 0.6723 0.5231 Pm
0.6723 0.3277 0.0231 Pm
0.9758 0.0242 0.0000 Pm
0.0962 0.9038 0.8746 Sn
0.2055 0.7945 0.3172 Sn
0.2099 0.7901 0.7418 Sn
0.3791 0.6209 0.9973 Sn
0.4517 0.5483 0.6639 Sn
0.5483 0.4517 0.1639 Sn
0.6209 0.3791 0.4973 Sn
0.7901 0.2099 0.2418 Sn
0.7945 0.2055 0.8172 Sn
0.9038 0.0962 0.3746 Sn
0.1065 0.8935 0.2466 Rh
0.2773 0.7227 0.0308 Rh
0.4494 0.5506 0.2807 Rh
0.5506 0.4494 0.7807 Rh
0.7227 0.2773 0.5308 Rh
0.8935 0.1065 0.7466 Rh
```

Diffraction record for Pm7Sn4Rh. The PXRD pattern is calculated, not measured: it uses a cell relaxed with GGA-PBE and Cu Kα X-rays.
Neutral-atom scattering factors, no anomalous dispersion.

Peak list (10 most intense, 2θ = 10–90°, most intense first)
d (Å)	two_theta	Rel. int.
2.705	33.11	100
2.723	32.90	81
2.636	34.01	67
3.746	23.76	36
1.913	47.53	35
3.826	23.25	19
1.542	60.01	17
1.875	48.55	16
1.549	59.69	16
1.566	58.97	15

```
Pm7Sn4Rh
1.0
7.8638 -2.7079 0.0000
7.8638 2.7079 0.0000
-6.7752 0.0000 9.0325
Pm Sn Rh
7 4 1
Direct
0.0000 0.0000 0.0000 Pm
0.1448 0.1448 0.5606 Pm
0.2845 0.2845 0.1311 Pm
0.4262 0.4262 0.7143 Pm
0.5738 0.5738 0.2857 Pm
0.7155 0.7155 0.8689 Pm
0.8552 0.8552 0.4394 Pm
0.0771 0.0771 0.7774 Sn
0.2224 0.2224 0.3457 Sn
0.7776 0.7776 0.6543 Sn
0.9229 0.9229 0.2226 Sn
0.5000 0.5000 0.0000 Rh
```